Diffraction record for RbYAg2Cl8. The powder diffractogram is calculated, not measured: it uses the PBE geometry in Alexandria and Cu Kα X-rays.

Crystal structure
```
RbYAg2Cl8
1.0
-3.378 3.378 7.458
3.378 -3.378 7.458
3.378 3.378 -7.458
Rb Y Ag Cl
1 1 2 8
Direct
0.000 0.000 0.000
0.250 0.750 0.500
0.500 0.500 0.000
0.750 0.250 0.500
0.277 0.693 0.160
0.307 0.467 0.584
0.398 0.017 0.031
0.533 0.117 0.840
0.633 0.602 0.619
0.883 0.723 0.416
0.983 0.014 0.381
0.986 0.367 0.969
```

The 6 most intense peaks (5° ≤ 2θ ≤ 70°), low angle first:
| Position (°2θ) | intensity |
| --- | --- |
| 22.1 | 100 |
| 35.9 | 38 |
| 37.7 | 20 |
| 40.9 | 28 |
| 44.1 | 46 |
| 45.1 | 17 |